(1)
For La7TbY3, a GGA-PBE-relaxed structure gives the simulated XRD peak list in this record (copper Kα).
Neutral-atom scattering factors, no anomalous dispersion.

Largest 10 diffraction maxima, in order of rising 2θ, 10° ≤ 2θ ≤ 90°:
2θ/deg, I (rel.)
10.1, 12
30.1, 100
30.6, 29
35.0, 64
50.0, 23
50.8, 22
59.5, 14
59.8, 26
62.5, 12
81.4, 12

Structural model:
Lattice parameters (Å, degrees): 7.291 7.291 8.756 90.00 90.00 120.00
Positions (direct):
La 0.000 0.000 0.000
La 0.003 0.501 0.028
La 0.168 0.336 0.671
La 0.168 0.832 0.671
La 0.499 0.501 0.028
La 0.499 0.997 0.028
La 0.664 0.832 0.671
Tb 0.667 0.333 0.690
Y 0.334 0.167 0.350
Y 0.833 0.167 0.350
Y 0.833 0.666 0.350

(2)
For La3Tb5Y3, a GGA-PBE-relaxed structure gives the simulated XRD peak list in this record (copper Kα).
Neutral-atom scattering factors, no anomalous dispersion.

Largest 10 diffraction maxima, in order of rising 2θ, 10° ≤ 2θ ≤ 90°:
2θ/deg, I (rel.)
10.6, 25
16.2, 97
26.9, 48
28.4, 41
32.3, 50
32.8, 97
36.3, 100
43.9, 25
46.7, 37
61.3, 23

Structural model:
Lattice parameters (Å, degrees): 9.614 9.614 5.455 90.00 90.00 120.00
Positions (direct):
La 0.000 0.363 0.000
La 0.363 0.000 0.000
La 0.637 0.637 0.000
Tb 0.000 0.731 0.000
Tb 0.269 0.269 0.000
Tb 0.333 0.667 0.000
Tb 0.667 0.333 0.000
Tb 0.731 0.000 0.000
Y 0.000 0.523 0.500
Y 0.477 0.477 0.500
Y 0.523 0.000 0.500

(3)
For La4Tb7Y, a GGA-PBE-relaxed structure gives the simulated XRD peak list in this record (copper Kα).
Neutral-atom scattering factors, no anomalous dispersion.

Largest 10 diffraction maxima, in order of rising 2θ, 10° ≤ 2θ ≤ 90°:
2θ/deg, I (rel.)
30.2, 100
35.0, 51
50.4, 36
59.8, 32
59.9, 10
62.8, 9
74.0, 6
81.9, 9
84.5, 8
84.7, 8

Structural model:
Lattice parameters (Å, degrees): 3.626 3.626 35.437 90.00 90.00 120.00
Positions (direct):
La 0.333 0.667 0.166
La 0.333 0.667 0.416
La 0.667 0.333 0.584
La 0.667 0.333 0.834
Tb 0.000 0.000 0.251
Tb 0.000 0.000 0.500
Tb 0.000 0.000 0.749
Tb 0.333 0.667 0.668
Tb 0.333 0.667 0.919
Tb 0.667 0.333 0.081
Tb 0.667 0.333 0.332
Y 0.000 0.000 0.000

(4)
For La2Tb3Y8, a GGA-PBE-relaxed structure gives the simulated XRD peak list in this record (copper Kα).
Neutral-atom scattering factors, no anomalous dispersion.

Largest 10 diffraction maxima, in order of rising 2θ, 10° ≤ 2θ ≤ 90°:
2θ/deg, I (rel.)
24.7, 20
29.0, 29
30.1, 28
32.0, 36
33.0, 100
34.1, 15
40.9, 12
47.4, 20
57.7, 21
63.3, 9

Structural model:
Lattice parameters (Å, degrees): 11.202 11.202 5.592 90.00 90.00 139.95
Positions (direct):
La 0.240 0.760 0.000
La 0.760 0.240 0.000
Tb 0.000 0.000 0.000
Tb 0.288 0.288 0.500
Tb 0.712 0.712 0.500
Y 0.127 0.873 0.500
Y 0.183 0.393 0.000
Y 0.339 0.661 0.500
Y 0.393 0.183 0.000
Y 0.607 0.817 0.000
Y 0.661 0.339 0.500
Y 0.817 0.607 0.000
Y 0.873 0.127 0.500

(5)
For La12TbY7, a GGA-PBE-relaxed structure gives the simulated XRD peak list in this record (copper Kα).
Neutral-atom scattering factors, no anomalous dispersion.

Largest 10 diffraction maxima, in order of rising 2θ, 10° ≤ 2θ ≤ 90°:
2θ/deg, I (rel.)
28.3, 14
29.9, 20
30.2, 100
31.7, 38
31.9, 42
33.2, 15
37.6, 13
52.3, 11
52.6, 13
55.8, 11

Structural model:
Lattice parameters (Å, degrees): 8.900 8.900 8.900 89.59 89.59 89.59
Positions (direct):
La 0.017 0.357 0.889
La 0.111 0.983 0.643
La 0.219 0.766 0.353
La 0.234 0.647 0.781
La 0.353 0.219 0.766
La 0.357 0.889 0.017
La 0.643 0.111 0.983
La 0.647 0.781 0.234
La 0.766 0.353 0.219
La 0.781 0.234 0.647
La 0.889 0.017 0.357
La 0.983 0.643 0.111
Tb 0.500 0.500 0.500
Y 0.000 0.000 0.000
Y 0.122 0.358 0.439
Y 0.358 0.439 0.122
Y 0.439 0.122 0.358
Y 0.561 0.878 0.642
Y 0.642 0.561 0.878
Y 0.878 0.642 0.561

(6)
For La2Tb2Y5, a GGA-PBE-relaxed structure gives the simulated XRD peak list in this record (copper Kα).
Neutral-atom scattering factors, no anomalous dispersion.

Largest 10 diffraction maxima, in order of rising 2θ, 10° ≤ 2θ ≤ 90°:
2θ/deg, I (rel.)
28.1, 100
29.8, 70
30.2, 63
30.6, 24
32.5, 36
32.7, 21
35.3, 62
46.9, 22
47.4, 19
58.1, 18

Structural model:
Lattice parameters (Å, degrees): 10.197 10.197 10.197 84.96 108.09 141.01
Positions (direct):
La 0.000 0.000 0.000
La 0.000 0.500 0.500
La 0.896 0.654 0.742
La 0.911 0.154 0.258
Tb 0.445 0.576 0.123
Tb 0.445 0.822 0.369
Tb 0.453 0.076 0.631
Tb 0.453 0.322 0.877
Y 0.044 0.357 0.794
Y 0.044 0.750 0.187
Y 0.342 0.250 0.376
Y 0.342 0.466 0.592
Y 0.361 0.856 0.005
Y 0.563 0.250 0.206
Y 0.563 0.857 0.813
Y 0.850 0.356 0.995
Y 0.874 0.750 0.408
Y 0.874 0.966 0.624

(7)
For La4TbY5, a GGA-PBE-relaxed structure gives the simulated XRD peak list in this record (copper Kα).
Neutral-atom scattering factors, no anomalous dispersion.

Largest 10 diffraction maxima, in order of rising 2θ, 10° ≤ 2θ ≤ 90°:
2θ/deg, I (rel.)
27.9, 24
29.1, 100
30.3, 57
31.8, 42
35.1, 39
36.6, 20
50.5, 16
52.6, 36
59.4, 15
67.8, 15

Structural model:
Lattice parameters (Å, degrees): 10.837 10.837 5.830 90.00 90.00 90.00
Positions (direct):
La 0.045 0.750 0.124
La 0.250 0.545 0.876
La 0.250 0.955 0.876
La 0.455 0.750 0.124
La 0.545 0.250 0.876
La 0.750 0.045 0.124
La 0.750 0.455 0.124
La 0.955 0.250 0.876
Tb 0.250 0.250 0.887
Tb 0.750 0.750 0.113
Y 0.090 0.090 0.347
Y 0.090 0.410 0.347
Y 0.250 0.750 0.500
Y 0.410 0.090 0.347
Y 0.410 0.410 0.347
Y 0.590 0.590 0.653
Y 0.590 0.910 0.653
Y 0.750 0.250 0.500
Y 0.910 0.590 0.653
Y 0.910 0.910 0.653

(8)
For La5Tb8Y, a GGA-PBE-relaxed structure gives the simulated XRD peak list in this record (copper Kα).
Neutral-atom scattering factors, no anomalous dispersion.

Largest 10 diffraction maxima, in order of rising 2θ, 10° ≤ 2θ ≤ 90°:
2θ/deg, I (rel.)
29.9, 41
31.1, 45
31.2, 55
31.2, 57
31.5, 100
46.0, 18
50.9, 17
55.3, 13
61.0, 33
61.1, 17

Structural model:
Lattice parameters (Å, degrees): 8.928 8.928 15.098 90.66 90.66 23.17
Positions (direct):
La 0.000 0.000 0.000
La 0.248 0.248 0.503
La 0.575 0.575 0.446
La 0.665 0.665 0.075
La 0.921 0.921 0.566
Tb 0.038 0.038 0.235
Tb 0.099 0.099 0.655
Tb 0.154 0.154 0.864
Tb 0.357 0.357 0.138
Tb 0.396 0.396 0.358
Tb 0.455 0.455 0.787
Tb 0.728 0.728 0.292
Tb 0.770 0.770 0.715
Y 0.821 0.821 0.932

(9)
For La7Tb2Y2, a GGA-PBE-relaxed structure gives the simulated XRD peak list in this record (copper Kα).
Neutral-atom scattering factors, no anomalous dispersion.

Largest 10 diffraction maxima, in order of rising 2θ, 10° ≤ 2θ ≤ 90°:
2θ/deg, I (rel.)
24.1, 27
28.6, 36
28.6, 36
29.1, 24
30.1, 100
30.5, 98
32.1, 82
32.4, 59
33.0, 32
53.1, 23

Structural model:
Lattice parameters (Å, degrees): 5.855 7.062 9.631 98.47 90.02 90.04
Positions (direct):
La 0.000 0.000 0.000
La 0.000 0.442 0.826
La 0.000 0.558 0.174
La 0.499 0.993 0.310
La 0.500 0.459 0.651
La 0.500 0.541 0.349
La 0.501 0.007 0.690
Tb 0.001 0.748 0.551
Tb 0.999 0.252 0.449
Y 0.500 0.272 0.019
Y 0.500 0.728 0.981

(10)
For La8Tb3Y2, a GGA-PBE-relaxed structure gives the simulated XRD peak list in this record (copper Kα).
Neutral-atom scattering factors, no anomalous dispersion.

Largest 10 diffraction maxima, in order of rising 2θ, 10° ≤ 2θ ≤ 90°:
2θ/deg, I (rel.)
24.6, 20
28.8, 45
30.1, 35
30.5, 49
32.7, 100
35.0, 13
46.9, 17
55.6, 22
59.7, 12
66.4, 13

Structural model:
Lattice parameters (Å, degrees): 11.037 11.037 5.864 90.02 90.02 41.06
Positions (direct):
La 0.096 0.694 0.000
La 0.174 0.174 0.501
La 0.306 0.904 0.000
La 0.369 0.369 0.500
La 0.631 0.631 0.500
La 0.694 0.096 0.000
La 0.826 0.826 0.499
La 0.904 0.306 0.000
Tb 0.218 0.782 0.500
Tb 0.500 0.500 0.000
Tb 0.782 0.218 0.500
Y 0.260 0.260 0.001
Y 0.740 0.740 0.999

(11)
For La2Tb5Y2, a GGA-PBE-relaxed structure gives the simulated XRD peak list in this record (copper Kα).
Neutral-atom scattering factors, no anomalous dispersion.

Largest 10 diffraction maxima, in order of rising 2θ, 10° ≤ 2θ ≤ 90°:
2θ/deg, I (rel.)
14.7, 19
25.3, 21
27.6, 28
29.6, 100
32.3, 40
33.2, 31
34.5, 42
35.9, 59
42.0, 20
42.2, 20

Structural model:
Lattice parameters (Å, degrees): 11.072 11.072 8.343 100.06 100.06 18.25
Positions (direct):
La 0.181 0.181 0.145
La 0.819 0.819 0.855
Tb 0.000 0.000 0.000
Tb 0.096 0.096 0.735
Tb 0.309 0.309 0.467
Tb 0.691 0.691 0.533
Tb 0.904 0.904 0.265
Y 0.453 0.453 0.642
Y 0.547 0.547 0.358

(12)
For LaTb6Y3, a GGA-PBE-relaxed structure gives the simulated XRD peak list in this record (copper Kα).
Neutral-atom scattering factors, no anomalous dispersion.

Largest 10 diffraction maxima, in order of rising 2θ, 10° ≤ 2θ ≤ 90°:
2θ/deg, I (rel.)
29.1, 89
31.3, 100
43.3, 30
54.4, 31
55.7, 19
57.0, 20
65.3, 12
73.1, 13
75.3, 15
83.8, 11

Structural model:
Lattice parameters (Å, degrees): 6.927 6.927 6.927 91.15 91.15 91.15
Positions (direct):
La 0.000 0.000 0.000
Tb 0.002 0.331 0.670
Tb 0.172 0.829 0.502
Tb 0.331 0.670 0.002
Tb 0.502 0.172 0.829
Tb 0.670 0.002 0.331
Tb 0.829 0.502 0.172
Y 0.251 0.251 0.251
Y 0.498 0.498 0.498
Y 0.744 0.744 0.744